Entry 1:
Diffraction record for U4Ga12Pd. The powder XRD pattern is computed, not measured: it uses a GGA-PBE-relaxed structure and λ = 1.5418 Å (Cu Kα).

Main lines, by angle (10° ≤ 2θ ≤ 80°):
two_theta, I_rel
20.56, 26
29.23, 57
36.00, 100
41.81, 63
47.03, 18
51.83, 20
60.62, 38
68.70, 15
72.56, 33
76.35, 12

Structure:
a = 8.642 Å, b = 8.642 Å, c = 8.642 Å
α = 90.00°, β = 90.00°, γ = 90.00°
Space group Im-3m (No. 229)
Asymmetric unit:
1 U 0.250 0.250 0.250
2 Ga 0.000 0.000 0.294
3 Ga 0.000 0.250 0.500
4 Pd 0.000 0.000 0.000

---

Entry 2:
Diffraction record for EuInPd. The powder XRD pattern is computed, not measured: it uses a GGA-PBE-relaxed structure and λ = 1.5418 Å (Cu Kα).

Main lines, by angle (10° ≤ 2θ ≤ 80°):
two_theta, I_rel
31.02, 100
32.71, 89
33.29, 26
37.01, 34
37.39, 24
38.97, 26
39.99, 41
41.68, 21
59.14, 19
60.15, 17

Structure:
a = 7.514 Å, b = 4.509 Å, c = 8.647 Å
α = 90.00°, β = 90.00°, γ = 90.00°
Space group Pnma (No. 62)
Asymmetric unit:
1 Eu 0.035 0.250 0.179
2 In 0.146 0.250 0.562
3 Pd 0.232 0.750 0.375

---

Entry 3:
Diffraction record for TbGaNi. The powder XRD pattern is computed, not measured: it uses a GGA-PBE-relaxed structure and λ = 1.5418 Å (Cu Kα).

Main lines, by angle (10° ≤ 2θ ≤ 80°):
two_theta, I_rel
24.27, 33
33.62, 69
35.15, 100
35.40, 52
36.68, 20
36.89, 56
37.18, 32
41.70, 58
43.19, 52
71.51, 27

Structure:
a = 9.732 Å, b = 4.189 Å, c = 6.828 Å
α = 90.00°, β = 128.74°, γ = 90.00°
Space group C2/m (No. 12)
Asymmetric unit:
1 Tb 0.057 0.000 0.313
2 Ga 0.176 0.500 0.098
3 Ni 0.157 0.500 0.702

---

Entry 4:
Diffraction record for Mg6AlCuO8. The powder XRD pattern is computed, not measured: it uses a GGA-PBE-relaxed structure and λ = 1.5418 Å (Cu Kα).

Main lines, by angle (10° ≤ 2θ ≤ 80°):
two_theta, I_rel
10.20, 14
21.05, 9
29.53, 10
36.55, 34
41.65, 50
42.86, 100
61.29, 55
62.22, 28
74.37, 12
77.68, 25

Structure:
a = 4.220 Å, b = 4.220 Å, c = 8.675 Å
α = 90.00°, β = 90.00°, γ = 90.00°
Space group P4/mmm (No. 123)
Asymmetric unit:
1 Mg 0.000 0.000 0.000
2 Mg 0.000 0.000 0.500
3 Mg 0.000 0.500 0.242
4 Al 0.500 0.500 0.500
5 Cu 0.500 0.500 0.000
6 O 0.000 0.000 0.251
7 O 0.000 0.500 0.000
8 O 0.000 0.500 0.500
9 O 0.500 0.500 0.290